Structure and theoretical XRD peak list of NdB2WO8 (DFT lattice parameters and positions (PBE+U); Cu Kα (λ = 1.5418 Å)).
Lines closer than 0.1° are merged.

Principal peaks in the range 10° ≤ 2θ ≤ 90°, in order of rising 2θ:
2θ (°)  I/Imax  (hkl)
20.67  100  1 0 0
34.13  57  1 0 2
36.21  29  1 1 0
45.65  34  1 1 2
50.61  24  2 0 2
56.68  15  2 1 0
63.80  18  2 1 2
71.82  15  0 2 4

Cell: 4.961 4.961 6.641 Å, 90.00 90.00 120.00°
Atoms (fractional coordinates):
Nd  0.000  0.000  0.000
B  0.333  0.667  0.242
B  0.667  0.333  0.758
W  0.000  0.000  0.500
O  0.173  0.346  0.317
O  0.173  0.827  0.317
O  0.333  0.667  0.023
O  0.346  0.173  0.683
O  0.654  0.827  0.317
O  0.667  0.333  0.977
O  0.827  0.173  0.683
O  0.827  0.654  0.683